Record 1
# Rb3PO4
Computed X-ray powder pattern, copper Kα. Input: a DFT-relaxed cell (GGA-PBE, the Materials Project).

The 12 most intense peaks (5° ≤ 2θ ≤ 70°), most intense first:
2theta, d/Å, I_rel
29.38, 3.040, 100
30.08, 2.971, 18
33.38, 2.684, 15
29.48, 3.029, 15
42.15, 2.144, 14
36.57, 2.457, 13
28.49, 3.133, 12
41.93, 2.155, 12
25.62, 3.477, 12
31.31, 2.856, 11
69.25, 1.357, 10
52.86, 1.732, 10

Structural model:
```
Rb3PO4
1.0
11.883 0.000 0.000
0.000 8.576 0.000
0.000 0.000 6.266
Rb P O
12 4 16
Direct
0.073 0.250 0.140
0.144 0.008 0.691
0.144 0.492 0.691
0.356 0.508 0.191
0.356 0.992 0.191
0.427 0.750 0.640
0.573 0.250 0.360
0.644 0.008 0.809
0.644 0.492 0.809
0.856 0.508 0.309
0.856 0.992 0.309
0.927 0.750 0.860
0.115 0.750 0.278
0.385 0.250 0.778
0.615 0.750 0.222
0.885 0.250 0.722
0.014 0.750 0.440
0.109 0.600 0.136
0.109 0.900 0.136
0.227 0.750 0.410
0.273 0.250 0.910
0.391 0.100 0.636
0.391 0.400 0.636
0.486 0.250 0.940
0.514 0.750 0.060
0.609 0.600 0.364
0.609 0.900 0.364
0.727 0.750 0.090
0.773 0.250 0.590
0.891 0.100 0.864
0.891 0.400 0.864
0.986 0.250 0.560
```

Record 2
# RbPO4
Computed X-ray powder pattern, copper Kα. Input: a DFT-relaxed cell (GGA-PBE, the Materials Project).

The 12 most intense peaks (5° ≤ 2θ ≤ 70°), most intense first:
2theta, d/Å, I_rel
22.24, 3.998, 100
28.17, 3.168, 72
42.88, 2.109, 47
31.65, 2.827, 21
42.44, 2.130, 16
35.67, 2.517, 14
64.20, 1.451, 13
54.26, 1.690, 12
58.25, 1.584, 11
43.60, 2.076, 10
37.01, 2.429, 10
45.37, 1.999, 8

Structural model:
```
RbPO4
1.0
-3.998 3.998 3.824
3.998 -3.998 3.824
3.998 3.998 -3.824
Rb P O
2 2 8
Direct
0.000 0.000 0.000
0.750 0.250 0.500
0.250 0.750 0.500
0.500 0.500 0.000
0.085 0.762 0.608
0.155 0.477 0.392
0.227 0.405 0.892
0.238 0.845 0.322
0.512 0.335 0.108
0.523 0.915 0.678
0.595 0.488 0.822
0.665 0.773 0.178
```

Record 3
# RbPO4
Computed X-ray powder pattern, copper Kα. Input: a DFT-relaxed cell (GGA-PBE, the Materials Project).

The 12 most intense peaks (5° ≤ 2θ ≤ 70°), most intense first:
2theta, d/Å, I_rel
23.10, 3.850, 100
23.59, 3.771, 43
29.84, 2.994, 40
38.92, 2.314, 26
36.38, 2.469, 23
30.48, 2.933, 21
35.18, 2.551, 14
37.24, 2.414, 14
58.13, 1.587, 12
38.77, 2.323, 10
48.86, 1.864, 10
35.82, 2.507, 9

Structural model:
```
RbPO4
1.0
5.272 0.000 0.000
0.000 5.866 0.000
-1.966 0.000 7.543
Rb P O
2 2 8
Direct
0.250 0.250 0.236
0.750 0.750 0.764
0.268 0.250 0.749
0.732 0.750 0.251
0.039 0.250 0.578
0.250 0.037 0.861
0.250 0.463 0.861
0.491 0.750 0.330
0.509 0.250 0.670
0.750 0.537 0.139
0.750 0.963 0.139
0.961 0.750 0.422
```

Record 4
# Rb2PSO8
Computed X-ray powder pattern, copper Kα. Input: a DFT-relaxed cell (GGA-PBE, the Materials Project).

The 12 most intense peaks (5° ≤ 2θ ≤ 70°), most intense first:
2theta, d/Å, I_rel
23.60, 3.770, 100
25.12, 3.546, 91
26.26, 3.394, 59
22.13, 4.018, 58
26.43, 3.373, 58
32.57, 2.749, 29
35.76, 2.511, 22
32.78, 2.732, 21
32.91, 2.721, 20
41.95, 2.154, 20
27.16, 3.283, 19
38.35, 2.347, 18

Structural model:
```
Rb2PSO8
1.0
7.562 0.000 0.000
1.248 7.540 0.000
0.068 -0.002 8.035
Rb P S O
4 2 2 16
Direct
0.099 0.267 0.316
0.399 0.235 0.819
0.601 0.765 0.181
0.901 0.733 0.684
0.397 0.753 0.687
0.603 0.247 0.313
0.105 0.744 0.184
0.895 0.256 0.816
0.002 0.328 0.684
0.018 0.174 0.950
0.197 0.886 0.252
0.237 0.597 0.114
0.261 0.902 0.605
0.294 0.614 0.763
0.477 0.325 0.456
0.494 0.171 0.179
0.506 0.829 0.821
0.523 0.675 0.544
0.706 0.386 0.237
0.739 0.098 0.395
0.763 0.403 0.886
0.803 0.114 0.748
0.982 0.826 0.050
0.998 0.672 0.316
```

Record 5
# RbScP2O8
Computed X-ray powder pattern, copper Kα. Input: a DFT-relaxed cell (GGA-PBE, the Materials Project).

The 12 most intense peaks (5° ≤ 2θ ≤ 70°), most intense first:
2theta, d/Å, I_rel
27.64, 3.227, 100
28.49, 3.133, 64
25.16, 3.540, 63
23.15, 3.842, 42
33.24, 2.696, 39
30.36, 2.944, 32
22.87, 3.888, 25
25.94, 3.434, 21
55.55, 1.654, 18
26.39, 3.377, 18
26.56, 3.356, 17
21.83, 4.071, 15

Structural model:
```
RbScP2O8
1.0
5.401 0.000 0.000
0.000 9.167 0.000
-0.927 0.000 15.366
Rb Sc P O
4 4 8 32
Direct
0.235 0.019 0.388
0.235 0.481 0.888
0.765 0.519 0.112
0.765 0.981 0.612
0.239 0.542 0.347
0.239 0.958 0.847
0.761 0.042 0.153
0.761 0.458 0.653
0.234 0.664 0.566
0.234 0.836 0.066
0.278 0.237 0.684
0.278 0.263 0.184
0.722 0.737 0.816
0.722 0.763 0.316
0.766 0.164 0.934
0.766 0.336 0.434
0.024 0.115 0.907
0.024 0.385 0.407
0.082 0.147 0.202
0.082 0.353 0.702
0.228 0.099 0.740
0.228 0.401 0.240
0.234 0.658 0.465
0.234 0.842 0.965
0.256 0.174 0.590
0.256 0.326 0.090
0.280 0.677 0.093
0.280 0.823 0.593
0.441 0.565 0.606
0.441 0.935 0.106
0.458 0.704 0.294
0.458 0.796 0.794
0.542 0.204 0.206
0.542 0.296 0.706
0.559 0.065 0.894
0.559 0.435 0.394
0.720 0.177 0.407
0.720 0.323 0.907
0.744 0.674 0.910
0.744 0.826 0.410
0.766 0.158 0.035
0.766 0.342 0.535
0.772 0.599 0.760
0.772 0.901 0.260
0.918 0.647 0.298
0.918 0.853 0.798
0.976 0.615 0.593
0.976 0.885 0.093
```

Record 6
# RbSmP4O12
Computed X-ray powder pattern, copper Kα. Input: a DFT-relaxed cell (GGA-PBE, the Materials Project).

The 12 most intense peaks (5° ≤ 2θ ≤ 70°), most intense first:
2theta, d/Å, I_rel
26.95, 3.309, 100
25.70, 3.467, 79
18.66, 4.754, 59
16.23, 5.461, 50
23.97, 3.713, 46
26.83, 3.322, 41
23.80, 3.739, 35
36.57, 2.457, 31
27.50, 3.243, 30
51.06, 1.789, 27
32.31, 2.770, 26
47.59, 1.911, 26

Structural model:
```
RbSmP4O12
1.0
4.015 -6.517 0.000
4.015 6.517 0.000
-3.915 0.000 10.006
Rb Sm P O
2 2 8 24
Direct
0.193 0.807 0.750
0.807 0.193 0.250
0.123 0.877 0.250
0.877 0.123 0.750
0.251 0.305 0.550
0.293 0.620 0.012
0.305 0.251 0.050
0.380 0.707 0.488
0.620 0.293 0.512
0.695 0.749 0.950
0.707 0.380 0.988
0.749 0.695 0.450
0.100 0.484 0.895
0.139 0.159 0.410
0.159 0.139 0.910
0.169 0.254 0.662
0.205 0.691 0.386
0.254 0.169 0.162
0.275 0.526 0.553
0.309 0.795 0.114
0.359 0.489 0.091
0.474 0.725 0.947
0.484 0.100 0.395
0.489 0.359 0.591
0.511 0.641 0.409
0.516 0.900 0.605
0.526 0.275 0.053
0.641 0.511 0.909
0.691 0.205 0.886
0.725 0.474 0.447
0.746 0.831 0.838
0.795 0.309 0.614
0.831 0.746 0.338
0.841 0.861 0.090
0.861 0.841 0.590
0.900 0.516 0.105
```

Record 7
# RbTbP2O7
Computed X-ray powder pattern, copper Kα. Input: a DFT-relaxed cell (GGA-PBE, the Materials Project).

The 12 most intense peaks (5° ≤ 2θ ≤ 70°), most intense first:
2theta, d/Å, I_rel
28.02, 3.184, 100
26.72, 3.336, 65
27.74, 3.216, 53
20.82, 4.267, 43
15.56, 5.697, 42
14.09, 6.284, 37
23.37, 3.806, 28
31.53, 2.838, 24
22.45, 3.960, 23
53.91, 1.701, 21
32.12, 2.787, 20
19.03, 4.663, 19

Structural model:
```
RbTbP2O7
1.0
7.900 0.000 0.000
0.000 11.136 0.000
-2.369 0.000 8.534
Rb Tb P O
4 4 8 28
Direct
0.182 0.182 0.056
0.182 0.318 0.556
0.818 0.682 0.444
0.818 0.818 0.944
0.238 0.599 0.257
0.238 0.901 0.757
0.762 0.099 0.243
0.762 0.401 0.743
0.132 0.598 0.823
0.132 0.902 0.323
0.433 0.633 0.692
0.433 0.867 0.192
0.567 0.133 0.808
0.567 0.367 0.308
0.868 0.098 0.677
0.868 0.402 0.177
0.008 0.503 0.727
0.008 0.997 0.227
0.081 0.725 0.758
0.081 0.775 0.258
0.150 0.590 0.998
0.150 0.910 0.498
0.326 0.565 0.802
0.326 0.935 0.302
0.329 0.608 0.523
0.329 0.892 0.023
0.386 0.074 0.766
0.386 0.426 0.266
0.447 0.734 0.239
0.447 0.766 0.739
0.553 0.234 0.261
0.553 0.266 0.761
0.614 0.574 0.734
0.614 0.926 0.234
0.671 0.108 0.977
0.671 0.392 0.477
0.674 0.065 0.698
0.674 0.435 0.198
0.850 0.090 0.502
0.850 0.410 0.002
0.919 0.225 0.742
0.919 0.275 0.242
0.992 0.003 0.773
0.992 0.497 0.273
```